[1]
The following is a simulated PXRD pattern of DyCu6Si2. It was derived from a DFT-relaxed cell (GGA-PBE, Alexandria), using Cu Ka.
Neutral-atom scattering factors, no anomalous dispersion.

Peak list (10 most intense, 2θ from 10° to 80°, in order of rising 2θ)
3.581 Å, 24.86 deg, I = 21; 2.812 Å, 31.82 deg, I = 23; 2.674 Å, 33.51 deg, I = 14; 2.305 Å, 39.08 deg, I = 100; 2.197 Å, 41.09 deg, I = 16; 2.011 Å, 45.09 deg, I = 54; 1.928 Å, 47.14 deg, I = 17; 1.483 Å, 62.63 deg, I = 9; 1.422 Å, 65.66 deg, I = 16; 1.210 Å, 79.15 deg, I = 23

Crystal structure
Unit cell a=4.0217 b=4.0217 c=7.8682 alpha=90.00 beta=90.00 gamma=90.00
Fractional coordinates of all 9 atoms:
Dy (0.0000, 0.0000, 0.0000)
Cu (0.0000, 0.0000, 0.5000)
Cu (0.0000, 0.5000, 0.3051)
Cu (0.0000, 0.5000, 0.6949)
Cu (0.5000, 0.0000, 0.3051)
Cu (0.5000, 0.0000, 0.6949)
Cu (0.5000, 0.5000, 0.5000)
Si (0.5000, 0.5000, 0.1498)
Si (0.5000, 0.5000, 0.8502)

---

[2]
The following is a simulated PXRD pattern of Dy3MgCd2. It was derived from a DFT-relaxed cell (GGA-PBE, Alexandria), using Cu Ka.
Neutral-atom scattering factors, no anomalous dispersion.

Peak list (10 most intense, 2θ from 10° to 80°, in order of rising 2θ)
3.775 Å, 23.57 deg, I = 11; 3.719 Å, 23.93 deg, I = 6; 2.669 Å, 33.57 deg, I = 51; 2.649 Å, 33.83 deg, I = 100; 1.888 Å, 48.21 deg, I = 18; 1.860 Å, 48.98 deg, I = 9; 1.537 Å, 60.19 deg, I = 37; 1.526 Å, 60.70 deg, I = 18; 1.335 Å, 70.56 deg, I = 6; 1.325 Å, 71.18 deg, I = 11

Crystal structure
Unit cell a=3.7752 b=3.7752 c=11.1572 alpha=90.00 beta=90.00 gamma=90.00
Fractional coordinates of all 6 atoms:
Dy (0.0000, 0.0000, 0.0000)
Dy (0.0000, 0.0000, 0.3313)
Dy (0.0000, 0.0000, 0.6687)
Mg (0.5000, 0.5000, 0.5000)
Cd (0.5000, 0.5000, 0.1688)
Cd (0.5000, 0.5000, 0.8312)